Record 1
K2TiCl6: computed powder X-ray diffraction pattern (λ = 1.5418 Å (Cu Kα)), based on a DFT-relaxed cell (GGA-PBE, the Materials Project).
Peak positions follow from Bragg's law for the DFT cell and can differ from measured ones.

Atomic structure:
Unit cell a=10.0261 b=10.0261 c=10.0261 alpha=90.00 beta=90.00 gamma=90.00
Space group Fm-3m (No. 225)
Asymmetric unit:
K 0.2500 0.2500 0.2500
Ti 0.0000 0.0000 0.0000
Cl 0.0000 0.0000 0.2353

Most intense lines, 2θ from 10° to 90°, in order of rising 2θ:
d 5.789, 15.31°, I 46, (1 1 1); d 3.545, 25.12°, I 15, (2 2 0); d 2.894, 30.90°, I 100, (2 2 2); d 2.507, 35.83°, I 91, (4 0 0); d 1.930, 47.10°, I 12, (5 1 1); d 1.772, 51.57°, I 54, (4 4 0); d 1.511, 61.33°, I 29, (6 2 2); d 1.447, 64.38°, I 17, (4 4 4); d 1.150, 84.18°, I 11, (6 6 2); d 1.121, 86.90°, I 20, (8 4 0)


Record 2
NaLi2Ru6O12: computed powder X-ray diffraction pattern (λ = 1.5418 Å (Cu Kα)), based on a DFT-relaxed cell (GGA-PBE, the Materials Project).
Peak positions follow from Bragg's law for the DFT cell and can differ from measured ones.

Atomic structure:
Unit cell a=9.5732 b=9.5732 c=2.7646 alpha=90.00 beta=90.00 gamma=120.00
Space group P-3 (No. 147)
Asymmetric unit:
Na 0.0000 0.0000 0.0000
Li 0.3333 0.6667 0.2508
Ru 0.0164 0.3583 0.2499
O 0.1064 0.8121 0.2515
O 0.1329 0.5437 0.7487

Most intense lines, 2θ from 10° to 90°, in order of rising 2θ:
d 4.787, 18.54°, I 100, (1 1 0); d 2.764, 32.40°, I 89, (3 0 0); d 2.394, 37.57°, I 99, (2 -1 1); d 2.073, 43.66°, I 12, (1 2 1); d 1.809, 50.44°, I 56, (2 2 1); d 1.596, 57.79°, I 19, (3 3 0); d 1.514, 61.23°, I 46, (5 -1 1); d 1.382, 67.81°, I 15, (0 0 2); d 1.236, 77.16°, I 13, (3 0 2); d 1.197, 80.21°, I 15, (2 5 1)


Record 3
Li2CaTa2O7: computed powder X-ray diffraction pattern (λ = 1.5418 Å (Cu Kα)), based on a DFT-relaxed cell (GGA-PBE, the Materials Project).
Peak positions follow from Bragg's law for the DFT cell and can differ from measured ones.

Atomic structure:
Unit cell a=5.5681 b=18.4612 c=5.5092 alpha=90.00 beta=90.00 gamma=90.00
Space group Pnma (No. 62)
Asymmetric unit:
Li 0.0050 0.0130 0.2432
Ca 0.2103 0.2500 0.9998
Ta 0.2440 0.1379 0.5018
O 0.0287 0.6649 0.2821
O 0.0378 0.1325 0.2134
O 0.2280 0.7500 0.9218
O 0.2449 0.0372 0.5460

Most intense lines, 2θ from 10° to 90°, in order of rising 2θ:
d 4.615, 19.23°, I 55, (0 4 0); d 3.831, 23.22°, I 100, (1 1 1); d 3.304, 26.99°, I 59, (1 3 1); d 2.784, 32.15°, I 24, (2 0 0); d 2.755, 32.50°, I 23, (0 0 2); d 2.687, 33.35°, I 67, (1 5 1); d 1.958, 46.37°, I 30, (2 0 2); d 1.817, 50.21°, I 25, (1 9 1); d 1.803, 50.64°, I 19, (2 4 2); d 1.335, 70.54°, I 20, (1 13 1)


Record 4
SrBi3: computed powder X-ray diffraction pattern (λ = 1.5418 Å (Cu Kα)), based on a DFT-relaxed cell (GGA-PBE, the Materials Project).
Peak positions follow from Bragg's law for the DFT cell and can differ from measured ones.

Atomic structure:
Unit cell a=5.0768 b=5.0768 c=5.0768 alpha=90.00 beta=90.00 gamma=90.00
Space group Pm-3m (No. 221)
Asymmetric unit:
Sr 0.0000 0.0000 0.0000
Bi 0.0000 0.5000 0.5000

Most intense lines, 2θ from 10° to 90°, in order of rising 2θ:
d 5.077, 17.47°, I 8, (1 0 0); d 3.590, 24.80°, I 7, (1 1 0); d 2.931, 30.50°, I 100, (1 1 1); d 2.538, 35.36°, I 51, (2 0 0); d 1.795, 50.87°, I 37, (2 2 0); d 1.531, 60.48°, I 45, (3 1 1); d 1.466, 63.47°, I 13, (2 2 2); d 1.269, 74.80°, I 6, (4 0 0); d 1.165, 82.89°, I 19, (3 3 1); d 1.135, 85.55°, I 18, (4 2 0)


Record 5
Ca2Mg: computed powder X-ray diffraction pattern (λ = 1.5418 Å (Cu Kα)), based on a DFT-relaxed cell (GGA-PBE, the Materials Project).
Peak positions follow from Bragg's law for the DFT cell and can differ from measured ones.

Atomic structure:
Unit cell a=13.9853 b=3.7813 c=8.3313 alpha=90.00 beta=105.98 gamma=90.00
Space group C2/m (No. 12)
Asymmetric unit:
Ca 0.0258 0.0000 0.2574
Ca 0.1906 0.5000 0.6440
Mg 0.1563 0.5000 0.0339

Most intense lines, 2θ from 10° to 90°, in order of rising 2θ:
d 3.225, 27.66°, I 21, (1 1 1); d 3.087, 28.92°, I 36, (2 0 2); d 3.016, 29.62°, I 58, (4 0 -2); d 2.890, 30.94°, I 100, (3 1 0); d 2.834, 31.57°, I 27, (4 0 1); d 2.799, 31.97°, I 88, (1 1 -2); d 2.670, 33.57°, I 17, (0 0 3); d 2.243, 40.21°, I 22, (6 0 0); d 1.891, 48.13°, I 16, (0 2 0); d 1.808, 50.49°, I 18, (3 1 3)


Please write out number 2 again, unchanged.
NaLi2Ru6O12: computed powder X-ray diffraction pattern (λ = 1.5418 Å (Cu Kα)), based on a DFT-relaxed cell (GGA-PBE, the Materials Project).
Peak positions follow from Bragg's law for the DFT cell and can differ from measured ones.

Atomic structure:
Unit cell a=9.5732 b=9.5732 c=2.7646 alpha=90.00 beta=90.00 gamma=120.00
Space group P-3 (No. 147)
Asymmetric unit:
Na 0.0000 0.0000 0.0000
Li 0.3333 0.6667 0.2508
Ru 0.0164 0.3583 0.2499
O 0.1064 0.8121 0.2515
O 0.1329 0.5437 0.7487

Most intense lines, 2θ from 10° to 90°, in order of rising 2θ:
d 4.787, 18.54°, I 100, (1 1 0); d 2.764, 32.40°, I 89, (3 0 0); d 2.394, 37.57°, I 99, (2 -1 1); d 2.073, 43.66°, I 12, (1 2 1); d 1.809, 50.44°, I 56, (2 2 1); d 1.596, 57.79°, I 19, (3 3 0); d 1.514, 61.23°, I 46, (5 -1 1); d 1.382, 67.81°, I 15, (0 0 2); d 1.236, 77.16°, I 13, (3 0 2); d 1.197, 80.21°, I 15, (2 5 1)